(1)
Diffraction record for ZnCd5O6. The powder diffractogram is calculated, not measured: it uses a PBE-relaxed structure and λ = 1.5418 Å (Cu Kα).
Peak positions follow from Bragg's law for the DFT cell and can differ from measured ones.

Largest 10 diffraction maxima, sorted by position, 2θ from 5° to 70°:
d = 2.725 Å, 2θ 32.9, I 82
d = 2.721 Å, 2θ 32.9, I 81
d = 2.360 Å, 2θ 38.1, I 100
d = 2.354 Å, 2θ 38.2, I 49
d = 1.671 Å, 2θ 54.9, I 16
d = 1.667 Å, 2θ 55.1, I 79
d = 1.423 Å, 2θ 65.6, I 33
d = 1.421 Å, 2θ 65.7, I 28
d = 1.362 Å, 2θ 68.9, I 23
d = 1.360 Å, 2θ 69.1, I 8

Cell and atoms:
Unit cell a=5.772 b=10.027 c=5.766 alpha=90.00 beta=109.40 gamma=90.00
Space group C2/m (No. 12)
Inequivalent atoms, fractional coordinates:
Zn 0.000 0.000 0.000
Cd 0.000 0.166 0.500
Cd 0.000 0.333 0.000
Cd 0.000 0.500 0.500
O 0.232 0.000 0.771
O 0.242 0.159 0.245

***

(2)
Diffraction record for Pr4Nd3Sm4. The powder diffractogram is calculated, not measured: it uses a PBE-relaxed structure and λ = 1.5418 Å (Cu Kα).
Peak positions follow from Bragg's law for the DFT cell and can differ from measured ones.

Largest 10 diffraction maxima, sorted by position, 2θ from 5° to 70°:
d = 3.004 Å, 2θ 29.7, I 33
d = 2.946 Å, 2θ 30.3, I 17
d = 2.925 Å, 2θ 30.6, I 39
d = 2.856 Å, 2θ 31.3, I 100
d = 2.741 Å, 2θ 32.7, I 15
d = 2.076 Å, 2θ 43.6, I 12
d = 2.000 Å, 2θ 45.3, I 12
d = 1.782 Å, 2θ 51.3, I 12
d = 1.674 Å, 2θ 54.8, I 29
d = 1.522 Å, 2θ 60.9, I 28

Cell and atoms:
Unit cell a=10.963 b=5.850 c=12.234 alpha=90.00 beta=90.00 gamma=90.00
Space group Amm2 (No. 38)
Inequivalent atoms, fractional coordinates:
Pr 0.000 0.000 0.000
Pr 0.210 0.000 0.794
Pr 0.500 0.000 0.927
Nd 0.000 0.000 0.295
Nd 0.293 0.000 0.450
Sm 0.000 0.000 0.594
Sm 0.302 0.000 0.146
Sm 0.500 0.000 0.653

***

(3)
Diffraction record for Na3Cd3Hg. The powder diffractogram is calculated, not measured: it uses a PBE-relaxed structure and λ = 1.5418 Å (Cu Kα).
Peak positions follow from Bragg's law for the DFT cell and can differ from measured ones.

Largest 10 diffraction maxima, sorted by position, 2θ from 5° to 70°:
d = 7.055 Å, 2θ 12.5, I 76
d = 6.364 Å, 2θ 13.9, I 35
d = 4.146 Å, 2θ 21.4, I 65
d = 2.754 Å, 2θ 32.5, I 41
d = 2.620 Å, 2θ 34.2, I 60
d = 2.602 Å, 2θ 34.5, I 71
d = 2.504 Å, 2θ 35.9, I 100
d = 2.453 Å, 2θ 36.6, I 53
d = 2.167 Å, 2θ 41.7, I 25
d = 1.456 Å, 2θ 63.9, I 18

Cell and atoms:
Unit cell a=7.7046 b=7.7046 c=21.1649 alpha=90.00 beta=90.00 gamma=120.00
Space group R-3 (No. 148, hexagonal axes)
Inequivalent atoms, fractional coordinates:
Na 0.0333 0.2741 0.2108
Cd 0.0533 0.7987 0.6406
Hg 0.0000 0.0000 0.0897

***

(4)
Diffraction record for SnHgPd6. The powder diffractogram is calculated, not measured: it uses a PBE-relaxed structure and λ = 1.5418 Å (Cu Kα).
Peak positions follow from Bragg's law for the DFT cell and can differ from measured ones.

Largest 10 diffraction maxima, sorted by position, 2θ from 5° to 70°:
d = 7.997 Å, 2θ 11.1, I 2
d = 4.071 Å, 2θ 21.8, I 2
d = 3.628 Å, 2θ 24.5, I 2
d = 2.853 Å, 2θ 31.4, I 2
d = 2.708 Å, 2θ 33.1, I 1
d = 2.336 Å, 2θ 38.5, I 100
d = 2.035 Å, 2θ 44.5, I 33
d = 1.999 Å, 2θ 45.4, I 16
d = 1.439 Å, 2θ 64.8, I 11
d = 1.426 Å, 2θ 65.4, I 21

Cell and atoms:
Unit cell a=4.071 b=4.071 c=7.997 alpha=90.00 beta=90.00 gamma=90.00
Space group P4/mmm (No. 123)
Inequivalent atoms, fractional coordinates:
Sn 0.000 0.000 0.000
Hg 0.000 0.000 0.500
Pd 0.000 0.500 0.245
Pd 0.500 0.500 0.000
Pd 0.500 0.500 0.500